Entry 1:
Diffraction record for Y8PtSe6. The powder X-ray diffraction pattern is calculated, not measured: it uses the GGA-PBE geometry in Alexandria and Cu Kα X-rays.

Top 8 peaks for 2θ from 10° to 80°, sorted by position:
d (Å)	I (rel.)
3.688	18
3.195	20
3.013	71
2.609	100
2.508	39
2.192	30
1.973	32
1.845	32

Structure:
Cell lengths 10.4414, 10.4414, 4.0390 Å; angles 90.00, 90.00, 120.00 degrees
Space group P-3 (No. 147)
One atom of each set of equivalent atoms:
Y1 0.0295 0.7403 0.2513 (multiplicity 6)
Y2 0.3333 0.6667 0.7479 (multiplicity 2)
Pt1 0.0000 0.0000 0.5000 (multiplicity 1)
Se1 0.1283 0.4755 0.2487 (multiplicity 6)



Entry 2:
Diffraction record for Si5Pt. The powder X-ray diffraction pattern is calculated, not measured: it uses the GGA-PBE geometry in Alexandria and Cu Kα X-rays.

Top 8 peaks for 2θ from 10° to 80°, sorted by position:
d (Å)	I (rel.)
6.175	100
5.219	65
4.813	66
2.610	44
2.544	27
2.311	72
2.166	38
1.768	28

Structure:
Cell lengths 11.0124, 2.7331, 7.0647 Å; angles 90.00, 119.06, 90.00 degrees
Space group Cm (No. 8)
One atom of each set of equivalent atoms:
Si1 0.0000 0.0000 0.0000 (multiplicity 2)
Si2 0.0036 0.5000 0.4451 (multiplicity 2)
Si3 0.1305 0.0000 0.7983 (multiplicity 2)
Si4 0.2997 0.0000 0.6652 (multiplicity 2)
Si5 0.3209 0.5000 0.1278 (multiplicity 2)
Pt1 0.1815 0.5000 0.3271 (multiplicity 2)



Entry 3:
Diffraction record for Si5Pt6. The powder X-ray diffraction pattern is calculated, not measured: it uses the GGA-PBE geometry in Alexandria and Cu Kα X-rays.

Top 8 peaks for 2θ from 10° to 80°, sorted by position:
d (Å)	I (rel.)
3.092	27
3.076	25
3.000	100
2.831	35
2.168	66
2.154	51
2.011	56
1.768	35

Structure:
Cell lengths 6.2446, 3.5365, 15.5674 Å; angles 90.00, 93.46, 90.00 degrees
Space group P2_1/m (No. 11)
One atom of each set of equivalent atoms:
Si1 0.0546 0.2500 0.3809 (multiplicity 2)
Si2 0.2215 0.7500 0.9266 (multiplicity 2)
Si3 0.2322 0.7500 0.1650 (multiplicity 2)
Si4 0.3137 0.2500 0.7795 (multiplicity 2)
Si5 0.4354 0.2500 0.5642 (multiplicity 2)
Pt1 0.0078 0.7500 0.7814 (multiplicity 2)
Pt2 0.1487 0.2500 0.0520 (multiplicity 2)
Pt3 0.1968 0.7500 0.4983 (multiplicity 2)
Pt4 0.2810 0.7500 0.3215 (multiplicity 2)
Pt5 0.3413 0.7500 0.6738 (multiplicity 2)
Pt6 0.4714 0.2500 0.9229 (multiplicity 2)